Record 1
The following is a computed PXRD pattern of Zr2Tl2S5. It was derived from a PBE-relaxed structure, using Cu Kα.

Crystal structure
a = 11.1829 Å, b = 7.5078 Å, c = 12.2196 Å
α = 90.00°, β = 108.12°, γ = 90.00°
Space group C2/c (No. 15)
Unique sites:
Zr 0.0906 0.1647 0.4403 x8
Tl 0.2006 0.3314 0.8127 x8
S 0.0000 0.3211 0.2500 x4
S 0.0130 0.1357 0.6113 x8
S 0.2014 0.4514 0.5432 x8

Peak list (10 most intense, 2θ from 10° to 90°, most intense first)
3.575 Å, 2θ 24.91, intensity 100, hkl 1 1 -3; 3.339 Å, 2θ 26.70, intensity 67, hkl 3 1 -1; 2.841 Å, 2θ 31.49, intensity 50, hkl 2 2 1; 2.046 Å, 2θ 44.27, intensity 35, hkl 3 3 -2; 3.426 Å, 2θ 26.01, intensity 33, hkl 2 0 2; 2.306 Å, 2θ 39.07, intensity 24, hkl 1 3 -2; 2.828 Å, 2θ 31.64, intensity 23, hkl 1 1 -4; 2.054 Å, 2θ 44.10, intensity 22, hkl 1 1 5; 2.901 Å, 2θ 30.82, intensity 21, hkl 3 1 -3; 3.207 Å, 2θ 27.81, intensity 21, hkl 3 1 0

---

Record 2
The following is a computed PXRD pattern of Zr4TlS8. It was derived from a PBE-relaxed structure, using Cu Kα.

Crystal structure
a = 7.3179 Å, b = 7.3179 Å, c = 23.3071 Å
α = 90.00°, β = 90.00°, γ = 120.00°
Space group R-3m (No. 166, hexagonal axes)
Unique sites:
Zr 0.0000 0.0000 0.0000 x3
Zr 0.0000 0.5000 0.0000 x9
Tl 0.0000 0.0000 0.5000 x3
S 0.0000 0.0000 0.2697 x6
S 0.0012 0.5006 0.7311 x18

Peak list (10 most intense, 2θ from 10° to 90°, most intense first)
2.784 Å, 2θ 32.16, intensity 100, hkl 0 2 4; 7.769 Å, 2θ 11.39, intensity 50, hkl 0 0 3; 6.115 Å, 2θ 14.48, intensity 40, hkl 1 0 1; 2.145 Å, 2θ 42.13, intensity 37, hkl 2 0 8; 5.567 Å, 2θ 15.92, intensity 33, hkl 0 1 2; 1.829 Å, 2θ 49.84, intensity 30, hkl 2 2 0; 3.310 Å, 2θ 26.93, intensity 19, hkl 1 1 3; 3.058 Å, 2θ 29.21, intensity 19, hkl 2 0 2; 4.289 Å, 2θ 20.71, intensity 18, hkl 1 0 4; 3.885 Å, 2θ 22.89, intensity 16, hkl 0 0 6

---

Record 3
The following is a computed PXRD pattern of Tm8S11. It was derived from a PBE-relaxed structure, using Cu Kα.

Crystal structure
a = 3.7461 Å, b = 12.6602 Å, c = 35.0330 Å
α = 90.00°, β = 90.00°, γ = 90.00°
Space group Cmcm (No. 63)
Unique sites:
Tm 0.0000 0.0000 0.0000 x4
Tm 0.0000 0.0184 0.1328 x8
Tm 0.0000 0.2416 0.6829 x8
Tm 0.0000 0.2568 0.0580 x8
Tm 0.0000 0.4910 0.7500 x4
S 0.0000 0.0904 0.5684 x8
S 0.0000 0.1133 0.2035 x8
S 0.0000 0.1438 0.7500 x4
S 0.0000 0.3356 0.6115 x8
S 0.0000 0.3532 0.5161 x8
S 0.0000 0.3956 0.1627 x8

Peak list (10 most intense, 2θ from 10° to 90°, most intense first)
3.601 Å, 2θ 24.73, intensity 100, hkl 0 2 8; 2.601 Å, 2θ 34.48, intensity 31, hkl 1 3 5; 3.165 Å, 2θ 28.19, intensity 23, hkl 0 4 0; 1.662 Å, 2θ 55.28, intensity 22, hkl 2 2 8; 1.901 Å, 2θ 47.85, intensity 21, hkl 0 6 8; 1.873 Å, 2θ 48.62, intensity 17, hkl 2 0 0; 2.156 Å, 2θ 41.91, intensity 15, hkl 1 1 13; 2.766 Å, 2θ 32.36, intensity 15, hkl 1 3 2; 1.423 Å, 2θ 65.61, intensity 14, hkl 2 0 16; 2.189 Å, 2θ 41.23, intensity 14, hkl 0 0 16

---

Record 4
The following is a computed PXRD pattern of Tm2S3. It was derived from a PBE-relaxed structure, using Cu Kα.

Crystal structure
a = 6.7953 Å, b = 6.7953 Å, c = 18.5283 Å
α = 90.00°, β = 90.00°, γ = 120.00°
Space group P6_3cm (No. 185)
Unique sites:
Tm 0.0000 0.0000 0.0000 x2
Tm 0.0000 0.0000 0.2031 x2
Tm 0.3333 0.6667 0.1658 x4
Tm 0.3333 0.6667 0.3643 x4
S 0.0000 0.3001 0.1050 x6
S 0.0000 0.3365 0.4321 x6
S 0.0000 0.3692 0.7618 x6

Peak list (10 most intense, 2θ from 10° to 90°, most intense first)
3.398 Å, 2θ 26.23, intensity 100, hkl 1 1 0; 2.285 Å, 2θ 39.43, intensity 85, hkl 1 1 6; 3.640 Å, 2θ 24.46, intensity 69, hkl 1 0 4; 1.962 Å, 2θ 46.28, intensity 47, hkl 3 0 0; 2.484 Å, 2θ 36.17, intensity 33, hkl 2 0 4; 2.005 Å, 2θ 45.22, intensity 31, hkl 2 1 4; 2.740 Å, 2θ 32.69, intensity 29, hkl 1 1 4; 4.967 Å, 2θ 17.86, intensity 27, hkl 1 0 2; 1.488 Å, 2θ 62.39, intensity 21, hkl 2 2 6; 4.632 Å, 2θ 19.16, intensity 21, hkl 0 0 4

---

Record 5
The following is a computed PXRD pattern of U3S5. It was derived from a PBE-relaxed structure, using Cu Kα.

Crystal structure
a = 11.5221 Å, b = 7.8249 Å, c = 7.2744 Å
α = 90.00°, β = 90.00°, γ = 90.00°
Space group Pnma (No. 62)
Unique sites:
U 0.0075 0.2500 0.0785 x4
U 0.1791 0.0024 0.5254 x8
S 0.9998 0.2500 0.4647 x4
S 0.0969 0.5480 0.1712 x8
S 0.1888 0.2500 0.8315 x4
S 0.2189 0.7500 0.7999 x4

Peak list (10 most intense, 2θ from 10° to 90°, most intense first)
3.396 Å, 2θ 26.24, intensity 100, hkl 3 0 1; 3.301 Å, 2θ 27.01, intensity 68, hkl 1 2 1; 3.237 Å, 2θ 27.56, intensity 60, hkl 2 2 0; 2.418 Å, 2θ 37.19, intensity 56, hkl 2 2 2; 3.637 Å, 2θ 24.47, intensity 46, hkl 0 0 2; 1.916 Å, 2θ 47.46, intensity 41, hkl 5 2 1; 1.695 Å, 2θ 54.10, intensity 30, hkl 3 4 1; 1.956 Å, 2θ 46.42, intensity 27, hkl 0 4 0; 2.319 Å, 2θ 38.84, intensity 25, hkl 4 2 0; 2.565 Å, 2θ 34.98, intensity 24, hkl 3 2 1

---

Record 6
The following is a computed PXRD pattern of U2S5. It was derived from a PBE-relaxed structure, using Cu Kα.

Crystal structure
a = 7.3501 Å, b = 9.8931 Å, c = 7.3696 Å
α = 90.00°, β = 90.00°, γ = 90.00°
Space group Pbcn (No. 60)
Unique sites:
U 0.2397 0.1472 0.0086 x8
S 0.0000 0.2510 0.7500 x4
S 0.1079 0.3973 0.1422 x8
S 0.1310 0.1062 0.3816 x8

Peak list (10 most intense, 2θ from 10° to 90°, most intense first)
3.585 Å, 2θ 24.83, intensity 100, hkl 1 2 1; 2.106 Å, 2θ 42.95, intensity 85, hkl 1 2 3; 3.680 Å, 2θ 24.19, intensity 64, hkl 0 0 2; 2.602 Å, 2θ 34.47, intensity 37, hkl 2 0 2; 2.053 Å, 2θ 44.12, intensity 27, hkl 0 4 2; 1.370 Å, 2θ 68.48, intensity 15, hkl 2 4 4; 2.473 Å, 2θ 36.32, intensity 15, hkl 0 4 0; 2.234 Å, 2θ 40.38, intensity 15, hkl 1 4 1; 1.793 Å, 2θ 50.94, intensity 13, hkl 2 4 2; 1.345 Å, 2θ 69.92, intensity 10, hkl 1 6 3